This entry pairs a crystal structure of ReN2 with its calculated powder diffraction line list. Radiation: λ = 1.5418 Å (Cu Kα). Structure: a structure optimized by DFT (GGA-PBE).

The 8 most intense peaks (2θ = 10–80°), by angle:
2θ 26.1, I = 100, hkl 0 1 1
2θ 35.5, I = 21, hkl 1 0 0
2θ 36.0, I = 40, hkl 1 1 -1
2θ 36.3, I = 19, hkl 1 0 -2
2θ 37.1, I = 15, hkl 0 0 2
2θ 52.1, I = 16, hkl 1 1 1
2θ 53.1, I = 15, hkl 1 2 -2
2θ 53.7, I = 16, hkl 0 2 2

Cell: 2.9202 4.8128 5.5986 Å, 90.00 120.11 90.00°
Space group Pc (No. 7)
Unique sites:
Re 0.0000 0.2482 0.0000 x2
N 0.3763 0.4537 0.8127 x2
N 0.8164 0.0402 0.2248 x2

This entry pairs a crystal structure of Ta2V3Si with its calculated powder diffraction line list. Radiation: λ = 1.5418 Å (Cu Kα). Structure: a structure optimized by DFT (GGA-PBE).

The 8 most intense peaks (2θ = 10–80°), by angle:
2θ 20.7, I = 35, hkl 1 0 0
2θ 29.8, I = 26, hkl 1 0 2
2θ 36.3, I = 61, hkl 1 1 0
2θ 38.5, I = 100, hkl 1 0 3
2θ 42.4, I = 77, hkl 1 1 2
2θ 43.6, I = 39, hkl 2 0 1
2θ 66.7, I = 38, hkl 2 1 3
2θ 71.5, I = 25, hkl 2 0 5

Cell: 4.9514 4.9514 8.3715 Å, 90.00 90.00 120.00°
Space group P6_3/mmc (No. 194)
Unique sites:
Ta 0.3333 0.6667 0.0619 x4
V 0.1704 0.3408 0.7500 x6
Si 0.0000 0.0000 0.0000 x2

This entry pairs a crystal structure of Np3Sn with its calculated powder diffraction line list. Radiation: λ = 1.5418 Å (Cu Kα). Structure: a structure optimized by DFT (GGA-PBE).

The 8 most intense peaks (2θ = 10–80°), by angle:
2θ 19.3, I = 5, hkl 1 0 0
2θ 27.5, I = 5, hkl 1 1 0
2θ 33.8, I = 100, hkl 1 1 1
2θ 39.2, I = 50, hkl 2 0 0
2θ 44.1, I = 3, hkl 2 1 0
2θ 56.7, I = 36, hkl 2 2 0
2θ 67.7, I = 42, hkl 3 1 1
2θ 71.1, I = 12, hkl 2 2 2

Cell: 4.5927 4.5927 4.5927 Å, 90.00 90.00 90.00°
Space group Pm-3m (No. 221)
Unique sites:
Np 0.0000 0.0000 0.5000 x3
Sn 0.5000 0.5000 0.5000 x1

This entry pairs a crystal structure of MoH with its calculated powder diffraction line list. Radiation: λ = 1.5418 Å (Cu Kα). Structure: a structure optimized by DFT (GGA-PBE).

The 7 most intense peaks (2θ = 10–80°), by angle:
2θ 34.9, I = 34, hkl 0 0 2
2θ 35.4, I = 100, hkl 1 0 0
2θ 50.6, I = 71, hkl 1 0 2
2θ 63.5, I = 18, hkl 1 1 0
2θ 73.7, I = 4, hkl 0 0 4
2θ 74.6, I = 22, hkl 1 1 2
2θ 74.9, I = 11, hkl 2 0 0

Cell: 2.9290 2.9290 5.1398 Å, 90.00 90.00 120.00°
Space group P6_3/mmc (No. 194)
Unique sites:
Mo 0.0000 0.0000 0.0000 x2
H 0.3333 0.6667 0.2500 x2